No. 1
Simulated PXRD pattern of NdHo2Tl2 for Cu Kα (λ = 1.5418 Å), from a cell relaxed with PBE.
Intensities are scaled so that the largest is 100.

Top 10 peaks for 2θ from 15° to 90°, by intensity:
two_theta	I/Imax
31.83	100
33.61	63
33.91	31
58.99	23
47.20	22
60.49	12
59.37	11
46.73	11
55.56	10
66.52	9

Structure:
```
10
Lattice="5.287 0.000 0.000 -2.642 6.107 0.000 -0.010 -2.298 8.974" Properties=species:S:1:pos:R:3 pbc="T T T"
Nd -0.006 0.008 3.165
Nd 2.641 3.802 5.809
Ho -0.009 1.342 6.763
Ho -0.003 4.925 1.240
Ho 2.638 -1.116 7.734
Ho 2.643 2.467 2.211
Tl 0.004 1.570 0.354
Tl -0.003 3.437 3.992
Tl 2.637 0.372 4.982
Tl 2.630 2.239 8.620
```

No. 2
Simulated PXRD pattern of Nd8Y2Cd for Cu Kα (λ = 1.5418 Å), from a cell relaxed with PBE.
Intensities are scaled so that the largest is 100.

Top 10 peaks for 2θ from 15° to 90°, by intensity:
two_theta	I/Imax
31.26	100
30.60	53
31.54	41
31.78	40
31.92	32
32.61	21
52.67	17
54.63	16
55.86	14
46.35	14

Structure:
```
11
Lattice="9.488 -3.477 0.000 9.488 3.477 0.000 -0.177 0.000 5.840" Properties=species:S:1:pos:R:3 pbc="T T T"
Nd 0.857 0.000 1.367
Nd 7.023 1.837 1.473
Nd 6.053 0.000 4.470
Nd 11.777 1.837 4.367
Nd 7.023 -1.837 1.473
Nd 12.748 0.000 1.370
Nd 11.777 -1.837 4.367
Nd 17.944 0.000 4.473
Y 4.088 0.000 1.509
Y 14.713 0.000 4.331
Cd 9.488 0.000 0.000
```

No. 3
Simulated PXRD pattern of Tb4IrOs for Cu Kα (λ = 1.5418 Å), from a cell relaxed with PBE.
Intensities are scaled so that the largest is 100.

Top 10 peaks for 2θ from 15° to 90°, by intensity:
two_theta	I/Imax
39.17	100
30.70	82
34.27	78
32.50	73
41.84	67
35.95	64
36.71	49
37.01	37
15.80	33
48.70	30

Structure:
```
12
Lattice="4.506 -6.477 0.000 4.506 6.477 0.000 -3.522 0.000 5.240" Properties=species:S:1:pos:R:3 pbc="T T T"
Tb 0.156 4.203 4.743
Tb 0.157 0.816 3.848
Tb 3.572 4.203 3.117
Tb 1.918 -0.816 1.228
Tb 3.572 0.816 4.011
Tb 1.917 -4.203 2.123
Tb 5.333 -0.816 1.391
Tb 5.333 -4.203 0.497
Ir 3.625 1.755 1.310
Ir 1.864 -1.755 3.930
Os 3.625 6.472 1.310
Os 1.864 -6.472 3.930
```

No. 4
Simulated PXRD pattern of Pr6Tl2Ru for Cu Kα (λ = 1.5418 Å), from a cell relaxed with PBE.
Intensities are scaled so that the largest is 100.

Top 10 peaks for 2θ from 15° to 90°, by intensity:
two_theta	I/Imax
30.07	100
32.24	79
30.39	66
34.58	52
38.10	48
56.54	36
55.95	24
58.62	23
59.20	23
45.79	21

Structure:
```
9
Lattice="3.963 0.000 0.000 0.000 7.774 4.497 0.000 -7.774 4.497" Properties=species:S:1:pos:R:3 pbc="T T T"
Pr 0.000 0.000 0.000
Pr 0.000 -1.844 5.759
Pr 0.000 1.844 5.759
Pr 1.982 -4.695 4.117
Pr 1.982 0.000 3.262
Pr 1.982 4.695 4.117
Tl 0.000 -2.599 2.336
Tl 0.000 2.599 2.336
Ru 1.982 0.000 6.869
```

No. 5
Simulated PXRD pattern of AcSn2Se4 for Cu Kα (λ = 1.5418 Å), from a cell relaxed with PBE.
Intensities are scaled so that the largest is 100.

Top 10 peaks for 2θ from 15° to 90°, by intensity:
two_theta	I/Imax
29.30	100
31.38	61
23.15	60
39.03	52
28.74	35
42.02	33
41.29	32
44.38	28
62.77	21
43.48	20

Structure:
```
14
Lattice="2.150 -6.814 0.000 2.150 6.814 0.000 0.000 0.000 13.959" Properties=species:S:1:pos:R:3 pbc="T T T"
Ac 2.150 5.352 10.469
Ac 2.150 -5.352 3.490
Sn 2.150 1.798 7.824
Sn 2.150 1.798 13.115
Sn 2.150 -1.798 0.844
Sn 2.150 -1.798 6.135
Se 0.000 0.000 0.000
Se 0.000 0.000 6.980
Se 2.150 3.054 1.714
Se 2.150 3.054 5.266
Se 2.150 0.747 10.469
Se 2.150 -0.747 3.490
Se 2.150 -3.054 8.693
Se 2.150 -3.054 12.246
```

No. 6
Simulated PXRD pattern of TcSb4 for Cu Kα (λ = 1.5418 Å), from a cell relaxed with PBE.
Intensities are scaled so that the largest is 100.

Top 10 peaks for 2θ from 15° to 90°, by intensity:
two_theta	I/Imax
39.47	100
27.63	56
71.59	34
64.54	20
19.44	19
57.05	17
48.86	15
84.96	11
34.01	9
53.07	5

Structure:
```
5
Lattice="-3.229 3.229 3.229 3.229 -3.229 3.229 3.229 3.229 -3.229" Properties=species:S:1:pos:R:3 pbc="T T T"
Tc 0.000 0.000 0.000
Sb 1.614 1.614 -1.614
Sb 1.614 -1.614 1.614
Sb -1.614 1.614 1.614
Sb 1.614 1.614 1.614
```

No. 7
Simulated PXRD pattern of La9Pb3C2 for Cu Kα (λ = 1.5418 Å), from a cell relaxed with PBE.
Intensities are scaled so that the largest is 100.

Top 10 peaks for 2θ from 15° to 90°, by intensity:
two_theta	I/Imax
29.84	100
34.59	53
59.07	44
49.72	38
80.76	18
83.32	17
61.98	13
72.96	6
24.27	4
17.10	2

Structure:
```
14
Lattice="7.337 0.000 0.000 -3.669 6.354 0.000 0.000 0.000 8.979" Properties=species:S:1:pos:R:3 pbc="T T T"
La -1.834 3.177 0.000
La 0.000 2.164 6.011
La -1.794 5.272 6.011
La 1.874 1.082 2.968
La 3.669 0.000 0.000
La 1.834 3.177 0.000
La 1.794 5.272 6.011
La 5.463 1.082 2.968
La 3.669 4.190 2.968
Pb 0.000 0.000 0.000
Pb 0.000 4.236 2.992
Pb 3.669 2.118 5.987
C 0.000 4.236 7.370
C 3.669 2.118 1.608
```

No. 8
Simulated PXRD pattern of DyAu6 for Cu Kα (λ = 1.5418 Å), from a cell relaxed with PBE.
Intensities are scaled so that the largest is 100.

Top 10 peaks for 2θ from 15° to 90°, by intensity:
two_theta	I/Imax
39.82	100
37.50	81
36.47	74
38.40	57
37.16	50
38.84	34
36.36	27
33.09	23
41.30	23
69.44	22

Structure:
```
56
Lattice="10.484 0.000 0.000 0.000 10.484 0.000 0.000 0.000 9.947" Properties=species:S:1:pos:R:3 pbc="T T T"
Dy 0.766 0.766 2.099
Dy 0.766 4.476 7.072
Dy 4.476 0.766 7.072
Dy 4.476 4.476 2.099
Dy 6.008 6.008 7.848
Dy 6.008 9.718 2.874
Dy 9.718 6.008 2.874
Dy 9.718 9.718 7.848
Au 0.000 0.000 4.973
Au 0.000 5.242 0.000
Au 0.146 7.133 5.746
Au 0.146 8.594 0.773
Au 1.277 7.313 8.486
Au 1.277 8.414 3.513
Au 1.566 1.566 6.755
Au 1.566 3.677 1.782
Au 1.891 5.389 4.201
Au 1.891 10.338 9.174
Au 2.071 6.519 1.460
Au 2.071 9.208 6.433
Au 2.621 2.621 4.296
Au 2.621 2.621 9.269
Au 3.171 6.519 6.433
Au 3.171 9.208 1.460
Au 3.352 5.389 9.174
Au 3.352 10.338 4.201
Au 3.677 1.566 1.782
Au 3.677 3.677 6.755
Au 3.966 7.313 3.513
Au 3.966 8.414 8.486
Au 5.096 7.133 0.773
Au 5.096 8.594 5.746
Au 5.242 0.000 0.000
Au 5.242 5.242 4.973
Au 5.389 1.891 4.201
Au 5.389 3.352 9.174
Au 6.519 2.071 1.460
Au 6.519 3.171 6.433
Au 6.808 6.808 3.191
Au 6.808 8.919 8.164
Au 7.133 0.146 5.746
Au 7.133 5.096 0.773
Au 7.313 1.277 8.486
Au 7.313 3.966 3.513
Au 7.863 7.863 0.678
Au 7.863 7.863 5.651
Au 8.414 1.277 3.513
Au 8.414 3.966 8.486
Au 8.594 0.146 0.773
Au 8.594 5.096 5.746
Au 8.919 6.808 8.164
Au 8.919 8.919 3.191
Au 9.208 2.071 6.433
Au 9.208 3.171 1.460
Au 10.338 1.891 9.174
Au 10.338 3.352 4.201
```

No. 9
Simulated PXRD pattern of Cs3Tl3Au2 for Cu Kα (λ = 1.5418 Å), from a cell relaxed with PBE.
Intensities are scaled so that the largest is 100.

Top 10 peaks for 2θ from 15° to 90°, by intensity:
two_theta	I/Imax
25.91	100
15.26	94
25.01	78
29.52	73
32.76	69
29.90	59
30.18	49
46.48	45
36.71	44
38.08	44

Structure:
```
32
Lattice="10.030 0.000 0.000 0.000 18.901 0.000 0.000 0.000 7.121" Properties=species:S:1:pos:R:3 pbc="T T T"
Cs 0.430 2.058 0.384
Cs 0.430 7.393 0.384
Cs 2.073 4.725 4.375
Cs 2.942 14.176 0.814
Cs 4.585 11.508 3.945
Cs 4.585 16.844 3.945
Cs 5.445 2.058 3.176
Cs 5.445 7.393 3.176
Cs 7.088 4.725 6.307
Cs 7.957 14.176 2.746
Cs 9.600 11.508 6.737
Cs 9.600 16.844 6.737
Tl 1.456 14.176 4.378
Tl 1.686 0.502 3.868
Tl 1.686 8.949 3.868
Tl 3.329 9.952 0.307
Tl 3.329 18.400 0.307
Tl 3.559 4.725 0.817
Tl 6.471 14.176 6.304
Tl 6.701 0.502 6.814
Tl 6.701 8.949 6.814
Tl 8.344 9.952 3.253
Tl 8.344 18.400 3.253
Tl 8.574 4.725 2.744
Au 0.767 11.657 3.187
Au 0.767 16.695 3.187
Au 4.248 2.207 6.747
Au 4.248 7.244 6.747
Au 5.783 11.657 0.374
Au 5.783 16.695 0.374
Au 9.263 2.207 3.934
Au 9.263 7.244 3.934
```

No. 10
Simulated PXRD pattern of Tm3Tl2Ni2 for Cu Kα (λ = 1.5418 Å), from a cell relaxed with PBE.
Intensities are scaled so that the largest is 100.

Top 10 peaks for 2θ from 15° to 90°, by intensity:
two_theta	I/Imax
34.30	100
34.44	88
31.04	67
60.47	37
36.97	32
57.53	31
48.07	22
59.81	21
49.76	20
83.25	15

Structure:
```
7
Lattice="1.893 -11.102 0.000 1.893 11.102 0.000 0.000 0.000 3.665" Properties=species:S:1:pos:R:3 pbc="T T T"
Tm 0.000 0.000 0.000
Tm 1.893 7.139 0.000
Tm 1.893 -7.139 0.000
Tl 1.893 1.952 1.832
Tl 1.893 -1.952 1.832
Ni 1.893 4.831 1.832
Ni 1.893 -4.831 1.832
```

No. 11
Simulated PXRD pattern of Pm3HoTm4 for Cu Kα (λ = 1.5418 Å), from a cell relaxed with PBE.
Intensities are scaled so that the largest is 100.

Top 10 peaks for 2θ from 15° to 90°, by intensity:
two_theta	I/Imax
30.81	100
35.79	67
31.02	33
61.23	28
51.37	24
51.64	24
61.11	14
61.47	14
64.19	12
83.84	12

Structure:
```
8
Lattice="6.159 0.000 0.000 0.000 3.558 0.000 -2.055 0.000 11.533" Properties=species:S:1:pos:R:3 pbc="T T T"
Pm 0.000 0.000 0.000
Pm -1.027 1.779 5.766
Pm 2.052 0.000 5.766
Ho 3.080 1.779 0.000
Tm 1.028 1.779 2.866
Tm 0.002 0.000 8.668
Tm 4.103 0.000 2.865
Tm 3.077 1.779 8.667
```

No. 12
Simulated PXRD pattern of Pm2SmDy2Y4 for Cu Kα (λ = 1.5418 Å), from a cell relaxed with PBE.
Intensities are scaled so that the largest is 100.

Top 10 peaks for 2θ from 15° to 90°, by intensity:
two_theta	I/Imax
31.70	100
33.39	90
30.97	49
28.70	45
60.38	43
50.45	37
54.44	21
57.72	19
39.98	17
86.18	17

Structure:
```
9
Lattice="9.395 -1.810 0.000 9.395 1.810 0.000 -4.175 0.000 8.664" Properties=species:S:1:pos:R:3 pbc="T T T"
Pm 1.047 0.000 4.318
Pm 13.569 0.000 4.346
Sm 7.308 0.000 4.332
Dy 3.129 0.000 7.238
Dy 11.487 0.000 1.425
Y -3.128 0.000 7.244
Y 5.212 0.000 1.429
Y 9.403 0.000 7.234
Y 17.744 0.000 1.420
```